This entry pairs a crystal structure of Sr4NbAlO8 with its computed powder X-ray diffraction pattern. Radiation: λ = 1.5418 Å (Cu Kα). Structure: DFT lattice parameters and positions (PBE).
Intensities are scaled so that the largest is 100.

Principal peaks in the range 10° ≤ 2θ ≤ 80°, by intensity:
(0 1 6), 31.48 deg, rel. 100; (0 2 0), 30.74 deg, rel. 84; (2 1 2), 31.85 deg, rel. 77; (2 2 -4), 42.80 deg, rel. 51; (2 0 -4), 29.04 deg, rel. 50; (2 1 0), 29.44 deg, rel. 40; (0 3 6), 55.13 deg, rel. 22; (2 0 6), 39.92 deg, rel. 20

Structure:
Lattice parameters (Å, degrees): 7.1744 5.8163 19.7164 90.00 97.57 90.00
Space group P2_1/c (No. 14)
Symmetry-distinct sites (fractional):
Sr1 0.0023 0.2483 0.3649 [4 per cell]
Sr2 0.2088 0.2211 0.5464 [4 per cell]
Sr3 0.3606 0.7194 0.7912 [4 per cell]
Sr4 0.4737 0.7503 0.0950 [4 per cell]
Nb1 0.1634 0.2420 0.7110 [4 per cell]
Al1 0.2323 0.7157 0.4435 [4 per cell]
O1 0.0010 0.5096 0.7436 [4 per cell]
O2 0.0503 0.7068 0.8751 [4 per cell]
O3 0.1577 0.6998 0.0225 [4 per cell]
O4 0.2517 0.0866 0.9436 [4 per cell]
O5 0.2913 0.0301 0.1604 [4 per cell]
O6 0.2998 0.5125 0.1781 [4 per cell]
O7 0.3254 0.2224 0.2958 [4 per cell]
O8 0.4420 0.6625 0.9229 [4 per cell]